Computed PXRD pattern of MgCu2GeS4 for λ = 1.5418 Å (Cu Kα), from a crystal structure in the Materials Project, relaxed with GGA-PBE.

Structure:
Unit cell a=8.0443 b=8.2372 c=6.4182 alpha=90.00 beta=128.80 gamma=90.00
Space group Cm (No. 8)
Asymmetric unit:
Mg 0.0000 0.0000 0.0000 (multiplicity 2)
Cu 0.3316 0.2500 0.1620 (multiplicity 4)
Ge 0.3222 0.0000 0.6423 (multiplicity 2)
S 0.4194 0.0000 0.3834 (multiplicity 2)
S 0.4659 0.5000 0.3831 (multiplicity 2)
S 0.4678 0.2106 0.9346 (multiplicity 4)

Main lines, low angle first (2θ from 10° to 90°):
two_theta	I_rel	hkl
17.77	98	0 0 1
28.06	87	0 2 1
28.48	100	2 0 0
31.04	33	2 2 -1
48.21	74	2 2 1
53.22	29	2 4 0